Diffraction record for SrNpZn17. The powder diffraction line list is simulated, not measured: it uses a structure optimized by DFT (PBE) and λ = 1.5418 Å (Cu Kα).
No peak broadening, texture or thermal motion is included.

Structural model:
```
data_SrNpZn17
_chemical_formula_sum 'Sr3 Np3 Zn51'
_cell_length_a 9.0806
_cell_length_b 9.0806
_cell_length_c 13.3065
_cell_angle_alpha 90.00
_cell_angle_beta 90.00
_cell_angle_gamma 120.00
_space_group_name_H-M_alt 'R 3 m'
_space_group_IT_number 160
_space_group_name_Hall 'R 3 -2"'
loop_
_atom_site_label
_atom_site_fract_x
_atom_site_fract_y
_atom_site_fract_z
Sr1 0.0000 0.0000 0.0000
Np1 0.0000 0.0000 0.3260
Zn1 0.0000 0.0000 0.5587
Zn2 0.0000 0.0000 0.7578
Zn3 0.9999 0.4999 0.1618
Zn4 0.0013 0.5006 0.8142
Zn5 0.0400 0.3712 0.3287
Zn6 0.1738 0.3476 0.8439
```

Peak list (10 most intense, 15 to 90 degrees two-theta, by angle)
2θ (°)  I_rel
28.1  29
34.2  39
35.3  27
39.7  61
40.0  100
40.7  49
40.9  22
44.9  27
58.2  23
73.6  22